Theoretical powder diffraction line list of TlHg2I4 for a wavelength of 1.5418 Å, from the PBE geometry in Alexandria.
Intensities are scaled so that the largest is 1000.

Largest 12 diffraction maxima, low angle first, 10° ≤ 2θ ≤ 80°:
Position (°2θ)	d [Å]	I (rel.)
18.66	4.756	187
21.74	4.088	838
22.05	4.032	410
26.25	3.396	553
26.76	3.331	251
34.35	2.611	262
37.37	2.406	265
37.54	2.396	267
37.83	2.378	1000
54.01	1.698	180
67.71	1.384	170
67.94	1.380	175

Cell and atoms:
a b c (Å): 9.514 9.514 9.514
angles (deg): 119.52 119.22 91.10
Positions (direct):
Tl1 0.500 0.000 0.000
Tl2 0.500 0.500 0.500
Hg1 0.000 0.000 0.000
Hg2 0.130 0.380 0.750
Hg3 0.500 0.000 0.500
Hg4 0.870 0.620 0.250
I1 0.222 0.239 0.984
I2 0.236 0.226 0.489
I3 0.236 0.747 0.011
I4 0.245 0.761 0.484
I5 0.755 0.239 0.516
I6 0.764 0.253 0.989
I7 0.764 0.774 0.511
I8 0.778 0.761 0.016

---

Theoretical powder diffraction line list of HfMn5Ga for a wavelength of 1.5418 Å, from the PBE geometry in Alexandria.
Intensities are scaled so that the largest is 1000.

Largest 12 diffraction maxima, low angle first, 10° ≤ 2θ ≤ 80°:
Position (°2θ)	d [Å]	I (rel.)
23.85	3.732	171
33.05	2.710	151
37.81	2.379	303
38.52	2.337	181
40.33	2.236	1000
45.07	2.012	121
46.91	1.937	137
47.27	1.923	117
49.01	1.859	127
55.11	1.666	141
69.98	1.344	140
70.91	1.329	161

Cell and atoms:
a b c (Å): 7.905 4.674 9.980
angles (deg): 90.00 90.00 90.00
Positions (direct):
Hf1 0.240 0.250 0.060
Hf2 0.260 0.750 0.560
Hf3 0.740 0.250 0.440
Hf4 0.760 0.750 0.940
Mn1 0.052 0.750 0.102
Mn2 0.071 0.019 0.314
Mn3 0.071 0.481 0.314
Mn4 0.089 0.250 0.532
Mn5 0.192 0.250 0.750
Mn6 0.308 0.750 0.250
Mn7 0.411 0.750 0.032
Mn8 0.429 0.519 0.814
Mn9 0.429 0.981 0.814
Mn10 0.448 0.250 0.602
Mn11 0.552 0.750 0.398
Mn12 0.571 0.019 0.186
Mn13 0.571 0.481 0.186
Mn14 0.589 0.250 0.968
Mn15 0.692 0.250 0.750
Mn16 0.808 0.750 0.250
Mn17 0.911 0.750 0.468
Mn18 0.929 0.519 0.686
Mn19 0.929 0.981 0.686
Mn20 0.948 0.250 0.898
Ga1 0.133 0.750 0.860
Ga2 0.367 0.250 0.360
Ga3 0.633 0.750 0.640
Ga4 0.867 0.250 0.140

---

Theoretical powder diffraction line list of La2BeZnPt6 for a wavelength of 1.5418 Å, from the PBE geometry in Alexandria.
Intensities are scaled so that the largest is 1000.

Largest 12 diffraction maxima, low angle first, 10° ≤ 2θ ≤ 80°:
Position (°2θ)	d [Å]	I (rel.)
26.46	3.369	430
28.44	3.139	205
33.90	2.645	180
35.95	2.498	195
37.19	2.418	1000
40.38	2.234	819
51.53	1.774	164
51.64	1.770	115
58.53	1.577	146
64.85	1.438	262
71.32	1.322	159
77.19	1.236	120

Cell and atoms:
a b c (Å): 5.752 5.752 7.516
angles (deg): 112.58 112.58 59.98
Positions (direct):
La1 0.216 0.216 0.149
La2 0.784 0.784 0.851
Be1 0.000 0.000 0.500
Zn1 0.500 0.500 0.000
Pt1 0.240 0.240 0.701
Pt2 0.240 0.722 0.701
Pt3 0.278 0.760 0.299
Pt4 0.722 0.240 0.701
Pt5 0.760 0.278 0.299
Pt6 0.760 0.760 0.299

---

Theoretical powder diffraction line list of Ni2SnTe2 for a wavelength of 1.5418 Å, from the PBE geometry in Alexandria.
Intensities are scaled so that the largest is 1000.

Largest 12 diffraction maxima, low angle first, 10° ≤ 2θ ≤ 80°:
Position (°2θ)	d [Å]	I (rel.)
11.12	7.956	56
30.30	2.950	240
32.37	2.766	1000
33.80	2.652	93
40.25	2.241	170
46.34	1.959	476
46.52	1.952	148
57.03	1.615	170
57.66	1.599	188
58.58	1.576	120
76.44	1.246	71
76.98	1.239	159

Cell and atoms:
a b c (Å): 8.271 8.271 8.271
angles (deg): 27.40 27.40 27.40
Positions (direct):
Ni1 0.105 0.105 0.105
Ni2 0.895 0.895 0.895
Sn1 0.500 0.500 0.500
Te1 0.277 0.277 0.277
Te2 0.723 0.723 0.723

---

Theoretical powder diffraction line list of NdScGa2Rh2 for a wavelength of 1.5418 Å, from the PBE geometry in Alexandria.
Intensities are scaled so that the largest is 1000.

Largest 12 diffraction maxima, low angle first, 10° ≤ 2θ ≤ 80°:
Position (°2θ)	d [Å]	I (rel.)
26.76	3.331	575
34.97	2.566	1000
38.75	2.324	149
41.24	2.189	900
45.80	1.981	149
49.84	1.830	107
55.15	1.665	263
57.87	1.593	277
58.27	1.583	100
71.13	1.326	240
72.20	1.308	111
75.17	1.264	146

Cell and atoms:
a b c (Å): 4.379 4.379 6.971
angles (deg): 90.00 90.00 120.00
Positions (direct):
Nd1 0.000 0.000 0.000
Sc1 0.000 0.000 0.500
Ga1 0.333 0.667 0.270
Ga2 0.667 0.333 0.730
Rh1 0.333 0.667 0.648
Rh2 0.667 0.333 0.352

---

Theoretical powder diffraction line list of Li2Ca3Ga3 for a wavelength of 1.5418 Å, from the PBE geometry in Alexandria.
Intensities are scaled so that the largest is 1000.

Largest 12 diffraction maxima, low angle first, 10° ≤ 2θ ≤ 80°:
Position (°2θ)	d [Å]	I (rel.)
17.96	4.939	209
27.08	3.293	207
31.50	2.840	334
34.23	2.620	1000
34.88	2.572	404
35.38	2.537	146
35.66	2.518	795
36.38	2.470	381
49.19	1.852	337
61.20	1.515	135
61.74	1.503	142
63.18	1.472	137

Cell and atoms:
a b c (Å): 3.702 5.160 10.212
angles (deg): 79.69 79.64 89.95
Positions (direct):
Li1 0.237 0.203 0.027
Li2 0.763 0.797 0.973
Ca1 0.000 0.000 0.500
Ca2 0.127 0.591 0.245
Ca3 0.873 0.409 0.755
Ga1 0.366 0.908 0.770
Ga2 0.500 0.500 0.500
Ga3 0.634 0.092 0.230

---

Theoretical powder diffraction line list of Dy3InGe3 for a wavelength of 1.5418 Å, from the PBE geometry in Alexandria.
Intensities are scaled so that the largest is 1000.

Largest 12 diffraction maxima, low angle first, 10° ≤ 2θ ≤ 80°:
Position (°2θ)	d [Å]	I (rel.)
20.46	4.341	398
25.53	3.490	401
28.19	3.165	284
30.47	2.934	748
31.48	2.842	397
35.09	2.558	160
35.83	2.506	1000
36.98	2.431	177
44.38	2.041	309
47.73	1.906	885
74.15	1.279	172
75.03	1.266	228

Cell and atoms:
a b c (Å): 8.682 8.682 5.867
angles (deg): 90.00 90.00 120.00
Positions (direct):
Dy1 0.052 0.691 0.250
Dy2 0.309 0.361 0.250
Dy3 0.361 0.052 0.750
Dy4 0.639 0.948 0.250
Dy5 0.691 0.639 0.750
Dy6 0.948 0.309 0.750
In1 0.333 0.667 0.750
In2 0.667 0.333 0.250
Ge1 0.041 0.693 0.750
Ge2 0.307 0.348 0.750
Ge3 0.348 0.041 0.250
Ge4 0.652 0.959 0.750
Ge5 0.693 0.652 0.250
Ge6 0.959 0.307 0.250